No. 1
Diffraction record for Ba2GdUO6. The powder diffraction line list is theoretical, not measured: it uses a crystal structure in the Materials Project, relaxed with PBE and Cu Kα (λ = 1.5418 Å).

Most intense lines, 2θ from 5° to 70°, low angle first:
2θ/deg, I_rel
17.3, 3
20.0, 7
28.5, 100
40.7, 28
45.8, 3
50.4, 42
58.9, 18
66.7, 19

Structural model:
```
10
Lattice="0.000 4.434 4.434 4.434 0.000 4.434 4.434 4.434 0.000" Properties=species:S:1:pos:R:3 pbc="T T T"
Ba 2.217 2.217 2.217
Ba 6.651 6.651 6.651
Gd 0.000 0.000 0.000
U 4.434 4.434 4.434
O 4.434 4.434 2.280
O 4.434 2.280 4.434
O 6.588 4.434 4.434
O 2.280 4.434 4.434
O 4.434 6.588 4.434
O 4.434 4.434 6.588
```


No. 2
Diffraction record for K2MgZn4P4H2O16. The powder diffraction line list is theoretical, not measured: it uses a crystal structure in the Materials Project, relaxed with PBE and Cu Kα (λ = 1.5418 Å).

Most intense lines, 2θ from 5° to 70°, low angle first:
2θ/deg, I_rel
9.6, 55
15.5, 94
18.5, 72
27.7, 100
29.3, 63
32.1, 64
32.3, 55
33.2, 75

Structural model:
```
29
Lattice="5.422 0.000 0.000 2.525 8.684 0.000 1.938 1.897 9.222" Properties=species:S:1:pos:R:3 pbc="T T T"
K 2.273 2.167 2.866
K 7.613 8.413 6.355
Mg 2.232 5.290 4.611
Zn 2.331 2.470 7.101
Zn 4.338 5.056 8.194
Zn 5.547 5.525 1.027
Zn 7.554 8.111 2.120
P 4.642 8.242 8.745
P 4.842 7.305 3.598
P 5.043 3.276 5.624
P 5.243 2.338 0.477
H 5.053 6.230 5.538
H 4.833 4.351 3.684
O 2.559 4.024 8.330
O 4.330 9.425 7.811
O 3.406 7.861 3.622
O 4.015 6.974 8.112
O 5.284 7.121 5.134
O 6.158 8.125 8.992
O 4.081 2.237 6.213
O 4.933 4.664 6.310
O 4.952 5.917 2.912
O 5.805 8.343 3.009
O 3.727 2.455 0.230
O 4.601 3.460 4.087
O 5.870 3.606 1.109
O 6.480 2.719 5.600
O 5.555 1.156 1.411
O 7.326 6.556 0.892
```


No. 3
Diffraction record for MnCoSn. The powder diffraction line list is theoretical, not measured: it uses a crystal structure in the Materials Project, relaxed with PBE and Cu Kα (λ = 1.5418 Å).

Most intense lines, 2θ from 5° to 70°, low angle first:
2θ/deg, I_rel
23.5, 9
28.8, 23
33.2, 17
41.1, 77
41.4, 100
54.0, 27
59.7, 25
69.6, 7

Structural model:
```
6
Lattice="4.366 0.000 0.000 -2.183 3.781 0.000 0.000 0.000 5.401" Properties=species:S:1:pos:R:3 pbc="T T T"
Mn 0.000 0.000 0.000
Mn 0.000 0.000 2.701
Co 0.000 2.521 1.350
Co 2.183 1.260 4.051
Sn 0.000 2.521 4.051
Sn 2.183 1.260 1.350
```


No. 4
Diffraction record for Ta4Te9I4O. The powder diffraction line list is theoretical, not measured: it uses a crystal structure in the Materials Project, relaxed with PBE and Cu Kα (λ = 1.5418 Å).

Most intense lines, 2θ from 5° to 70°, low angle first:
2θ/deg, I_rel
9.2, 100
9.4, 92
10.1, 51
14.9, 44
16.5, 29
24.4, 55
27.2, 80
31.3, 72

Structural model:
```
36
Lattice="11.298 -3.140 0.000 11.298 3.140 0.000 -10.981 0.000 17.517" Properties=species:S:1:pos:R:3 pbc="T T T"
Ta -2.511 0.390 6.332
Ta -8.001 -0.390 15.091
Ta 1.237 1.257 13.364
Ta 4.888 1.257 12.912
Ta 6.728 -1.257 4.605
Ta 10.378 -1.257 4.153
Ta 19.617 0.390 2.427
Ta 14.127 -0.390 11.185
Te -5.562 0.010 10.987
Te -0.072 -0.010 2.228
Te 0.359 -0.002 5.841
Te -5.132 0.002 14.600
Te 0.895 0.843 10.492
Te 8.553 0.998 4.379
Te 4.541 0.861 10.036
Te 1.584 0.861 16.240
Te 6.386 -0.843 1.733
Te 5.230 0.843 15.784
Te 10.032 -0.861 1.277
Te 7.075 -0.861 7.482
Te 3.063 -0.998 13.138
Te 10.721 -0.843 7.026
Te 16.748 -0.002 2.918
Te 11.257 0.002 11.676
Te 11.687 0.010 15.289
Te 17.178 -0.010 6.530
I 8.064 1.902 0.144
I 4.396 0.326 4.885
I 9.042 1.902 8.614
I -1.095 -0.326 13.644
I 12.711 0.326 3.873
I 2.573 -1.902 8.903
I 7.220 -0.326 12.632
I 3.552 -1.902 17.373
O 3.063 2.422 13.138
O 8.553 -2.422 4.379
```